BePt2Rh: theoretical X-ray diffraction stick pattern (Cu Kα (weighted mean of Kα1 and Kα2)), based on a structure optimized by DFT (PBE).
Lines closer than 0.1° are merged.

Crystal structure
```
data_BePt2Rh
_cell_length_a 2.7700
_cell_length_b 3.8261
_cell_length_c 5.3181
_cell_angle_alpha 90.00
_cell_angle_beta 102.25
_cell_angle_gamma 90.00
_space_group_name_H-M_alt 'P 1 2/m 1'
_space_group_IT_number 10
loop_
_space_group_symop_operation_xyz
'x,y,z'
'-x,-y,-z'
'-x,y,-z'
'x,-y,z'
loop_
_atom_site_label
_atom_site_fract_x
_atom_site_fract_y
_atom_site_fract_z
_atom_site_occupancy
Be1 0.0000 0.0000 0.0000 1
Pt1 0.3757 0.5000 0.2295 1
Rh1 0.0000 0.0000 0.5000 1
```

Principal peaks in the range 2θ = 10–90°, low angle first:
2θ 23.2, rel. 72, hkl 0 1 0
2θ 40.7, rel. 38, hkl 1 0 1
2θ 40.8, rel. 69, hkl 1 1 0
2θ 41.5, rel. 49, hkl 1 1 -1
2θ 42.0, rel. 100, hkl 0 1 2
2θ 42.8, rel. 40, hkl 1 0 -2

Sm3GeH2: theoretical X-ray diffraction stick pattern (Cu Kα (weighted mean of Kα1 and Kα2)), based on a structure optimized by DFT (PBE).
Lines closer than 0.1° are merged.

Crystal structure
```
data_Sm3GeH2
_cell_length_a 21.8036
_cell_length_b 4.0815
_cell_length_c 6.1115
_cell_angle_alpha 90.00
_cell_angle_beta 106.07
_cell_angle_gamma 90.00
_space_group_name_H-M_alt 'C 1 2/m 1'
_space_group_IT_number 12
loop_
_space_group_symop_operation_xyz
'x,y,z'
'-x,-y,-z'
'-x,y,-z'
'x,-y,z'
'x+1/2,y+1/2,z'
'-x+1/2,-y+1/2,-z'
'-x+1/2,y+1/2,-z'
'x+1/2,-y+1/2,z'
loop_
_atom_site_label
_atom_site_fract_x
_atom_site_fract_y
_atom_site_fract_z
_atom_site_occupancy
Sm1 0.0511 0.0000 0.2914 1
Sm2 0.1008 0.5000 0.8517 1
Sm3 0.2304 0.0000 0.2314 1
Ge1 0.1513 0.5000 0.3897 1
H1 0.0564 0.0000 0.9139 1
H2 0.2102 0.5000 0.0195 1
```

Principal peaks in the range 2θ = 10–90°, low angle first:
2θ 27.6, rel. 66, hkl 1 1 1
2θ 30.5, rel. 47, hkl 0 0 2
2θ 31.4, rel. 100, hkl 5 1 -1
2θ 33.3, rel. 44, hkl 6 0 1
2θ 39.0, rel. 40, hkl 1 1 2
2θ 53.1, rel. 34, hkl 1 1 3